Record 1
Starting from a crystal structure in Alexandria, relaxed with GGA-PBE, the PXRD pattern of LaNd5Sb4 was calculated for Cu Kα (weighted mean of Kα1 and Kα2).
Intensities are scaled so that the largest is 100.

Structure:
```
LaNd5Sb4
1.0
9.706 -2.231 0.000
9.706 2.231 0.000
-2.364 0.000 8.519
La Nd Sb
1 5 4
Direct
0.000 0.000 0.000
0.000 0.000 0.500
0.326 0.326 0.655
0.337 0.337 0.168
0.663 0.663 0.832
0.674 0.674 0.345
0.171 0.171 0.092
0.493 0.493 0.740
0.507 0.507 0.260
0.829 0.829 0.908
```

Top 10 peaks for 2θ from 10° to 80°, in order of rising 2θ:
2θ (°), I (rel.)
24.53, 11.2
28.44, 100.0
28.63, 47.3
40.17, 38.8
40.43, 19.4
40.87, 18.5
41.41, 35.9
50.29, 19.7
58.84, 12.6
74.21, 11.4


Record 2
Starting from a crystal structure in Alexandria, relaxed with GGA-PBE, the PXRD pattern of La5Nd5Sb6 was calculated for Cu Kα (weighted mean of Kα1 and Kα2).
Intensities are scaled so that the largest is 100.

Structure:
```
La5Nd5Sb6
1.0
6.578 0.000 0.000
0.000 8.208 4.725
0.000 -8.208 4.725
La Nd Sb
5 5 6
Direct
0.000 0.000 0.000
0.250 0.083 0.416
0.250 0.416 0.083
0.750 0.083 0.416
0.750 0.416 0.083
0.000 0.497 0.750
0.000 0.750 0.497
0.500 0.003 0.749
0.500 0.500 0.500
0.500 0.749 0.003
0.000 0.133 0.748
0.000 0.370 0.370
0.000 0.748 0.133
0.500 0.131 0.131
0.500 0.368 0.750
0.500 0.750 0.368
```

Top 10 peaks for 2θ from 10° to 80°, in order of rising 2θ:
2θ (°), I (rel.)
27.11, 19.7
28.82, 29.6
29.26, 17.1
31.93, 100.0
32.78, 64.9
33.17, 89.8
47.33, 25.2
51.03, 31.0
52.63, 14.2
66.34, 16.6


Record 3
Starting from a crystal structure in Alexandria, relaxed with GGA-PBE, the PXRD pattern of LaNd3Sb4 was calculated for Cu Kα (weighted mean of Kα1 and Kα2).
Intensities are scaled so that the largest is 100.

Structure:
```
LaNd3Sb4
1.0
4.550 -6.435 0.000
4.550 6.435 0.000
0.000 0.000 4.554
La Nd Sb
1 3 4
Direct
0.000 0.000 0.000
0.000 0.500 0.500
0.500 0.000 0.500
0.500 0.500 0.000
0.251 0.749 0.000
0.253 0.253 0.500
0.747 0.747 0.500
0.749 0.251 0.000
```

Top 8 peaks for 2θ from 10° to 80°, in order of rising 2θ:
2θ (°), I (rel.)
23.95, 1.2
27.72, 100.0
39.60, 76.8
46.81, 0.7
49.03, 27.6
57.25, 12.9
64.77, 35.5
71.85, 26.1


Record 4
Starting from a crystal structure in Alexandria, relaxed with GGA-PBE, the PXRD pattern of LaNdSbSe was calculated for Cu Kα (weighted mean of Kα1 and Kα2).
Intensities are scaled so that the largest is 100.

Structure:
```
LaNdSbSe
1.0
4.457 0.000 0.000
0.000 4.457 0.000
0.000 0.000 6.246
La Nd Sb Se
1 1 1 1
Direct
0.000 0.000 0.000
0.500 0.500 0.500
0.500 0.500 0.000
0.000 0.000 0.500
```

Top 10 peaks for 2θ from 10° to 80°, in order of rising 2θ:
2θ (°), I (rel.)
28.32, 100.0
28.58, 48.8
40.48, 38.0
40.67, 75.1
50.30, 40.4
58.58, 12.7
66.32, 17.4
66.46, 17.3
66.87, 17.0
73.76, 25.6